(1)
Starting from a DFT-relaxed cell (PBE, Alexandria), the powder diffractogram of ScAs3 was computed for copper Kα.

Structural model:
a b c (Å): 4.1337 3.8397 5.5171
angles (deg): 90.00 109.37 90.00
Space group P2/m (No. 10)
One atom of each set of equivalent atoms:
Sc 0.0000 0.0000 0.0000 (multiplicity 1)
As 0.2973 0.5000 0.7721 (multiplicity 2)
As 0.5000 0.0000 0.5000 (multiplicity 1)

Most intense lines, 10° ≤ 2θ ≤ 90°, in order of rising 2θ:
| 2θ/deg | I/Imax | index |
| --- | --- | --- |
| 33.0 | 47 | 1 0 1 |
| 33.3 | 100 | 1 1 -1 |
| 41.9 | 51 | 0 1 2 |
| 47.4 | 18 | 0 2 0 |
| 52.6 | 22 | 2 1 0 |
| 58.9 | 17 | 1 2 1 |

=====

(2)
Starting from a DFT-relaxed cell (PBE, Alexandria), the powder diffractogram of NaLi2SnCl8 was computed for copper Kα.

Structural model:
a b c (Å): 5.6639 6.5120 8.0709
angles (deg): 90.00 90.07 94.10
Space group P-1 (No. 2)
One atom of each set of equivalent atoms:
Na 0.0000 0.0000 0.0000 (multiplicity 1)
Li 0.4995 0.5006 0.7314 (multiplicity 2)
Sn 0.0000 0.0000 0.5000 (multiplicity 1)
Cl 0.2328 0.8533 0.2789 (multiplicity 2)
Cl 0.2335 0.8536 0.7214 (multiplicity 2)
Cl 0.2539 0.4653 0.0000 (multiplicity 2)
Cl 0.2599 0.3314 0.4999 (multiplicity 2)

Most intense lines, 10° ≤ 2θ ≤ 90°, in order of rising 2θ:
| 2θ/deg | I/Imax | index |
| --- | --- | --- |
| 11.0 | 79 | 0 0 1 |
| 17.5 | 80 | 0 1 1 |
| 21.6 | 48 | 1 1 0 |
| 30.0 | 100 | 1 -1 2 |
| 32.8 | 52 | 1 2 0 |
| 40.6 | 52 | 2 -1 2 |

=====

(3)
Starting from a DFT-relaxed cell (PBE, Alexandria), the powder diffractogram of ErNp2S6 was computed for copper Kα.

Structural model:
a b c (Å): 7.1274 7.1274 4.2008
angles (deg): 90.00 90.00 120.00
Space group P-3 (No. 147)
One atom of each set of equivalent atoms:
Er 0.0000 0.0000 0.0000 (multiplicity 1)
Np 0.3333 0.6667 0.2141 (multiplicity 2)
S 0.0804 0.3821 0.7387 (multiplicity 6)

Most intense lines, 10° ≤ 2θ ≤ 90°, in order of rising 2θ:
| 2θ/deg | I/Imax | index |
| --- | --- | --- |
| 25.0 | 100 | 1 1 0 |
| 25.7 | 80 | 0 1 1 |
| 33.0 | 32 | 1 1 1 |
| 36.1 | 62 | 2 0 1 |
| 44.0 | 40 | 3 0 0 |
| 44.4 | 56 | 3 -2 1 |

=====

(4)
Starting from a DFT-relaxed cell (PBE, Alexandria), the powder diffractogram of Pr8HPt3I4 was computed for copper Kα.

Structural model:
a b c (Å): 14.7285 8.4864 9.4607
angles (deg): 90.00 121.29 90.00
Space group C2/m (No. 12)
One atom of each set of equivalent atoms:
Pr 0.0196 0.2470 0.3120 (multiplicity 8)
Pr 0.2286 0.0000 0.6891 (multiplicity 4)
Pr 0.2289 0.5000 0.6870 (multiplicity 4)
H 0.0000 0.0000 0.5000 (multiplicity 2)
Pt 0.0000 0.5000 0.5000 (multiplicity 2)
Pt 0.2500 0.2500 0.5000 (multiplicity 4)
I 0.0000 0.0000 0.0000 (multiplicity 2)
I 0.0000 0.5000 0.0000 (multiplicity 2)
I 0.2500 0.2500 0.0000 (multiplicity 4)

Most intense lines, 10° ≤ 2θ ≤ 90°, in order of rising 2θ:
| 2θ/deg | I/Imax | index |
| --- | --- | --- |
| 10.9 | 17 | 0 0 1 |
| 28.4 | 100 | 4 0 0 |
| 35.6 | 12 | 2 2 -3 |
| 38.5 | 28 | 2 2 2 |
| 42.6 | 38 | 0 4 0 |
| 52.0 | 19 | 4 4 0 |

=====

(5)
Starting from a DFT-relaxed cell (PBE, Alexandria), the powder diffractogram of BiBrN2 was computed for copper Kα.

Structural model:
a b c (Å): 3.5090 25.5480 6.5244
angles (deg): 90.00 90.46 90.00
Space group C2/c (No. 15)
One atom of each set of equivalent atoms:
Bi 0.0000 0.0000 0.0000 (multiplicity 4)
Br 0.0000 0.0931 0.2500 (multiplicity 4)
N 0.0069 0.2058 0.6652 (multiplicity 8)

Most intense lines, 10° ≤ 2θ ≤ 90°, in order of rising 2θ:
| 2θ/deg | I/Imax | index |
| --- | --- | --- |
| 13.9 | 65 | 0 4 0 |
| 25.6 | 100 | 1 1 0 |
| 27.5 | 30 | 1 3 0 |
| 28.2 | 34 | 0 2 2 |
| 30.8 | 60 | 0 4 2 |
| 34.6 | 46 | 0 6 2 |

=====

(6)
Starting from a DFT-relaxed cell (PBE, Alexandria), the powder diffractogram of LiGdGaRu was computed for copper Kα.

Structural model:
a b c (Å): 6.5440 6.5440 6.5440
angles (deg): 90.00 90.00 90.00
Space group F-43m (No. 216)
One atom of each set of equivalent atoms:
Li 0.0000 0.0000 0.0000 (multiplicity 4)
Gd 0.2500 0.2500 0.7500 (multiplicity 4)
Ga 0.2500 0.2500 0.2500 (multiplicity 4)
Ru 0.0000 0.0000 0.5000 (multiplicity 4)

Most intense lines, 10° ≤ 2θ ≤ 90°, in order of rising 2θ:
| 2θ/deg | I/Imax | index |
| --- | --- | --- |
| 23.5 | 36 | 1 1 1 |
| 27.3 | 16 | 2 0 0 |
| 38.9 | 100 | 2 2 0 |
| 46.0 | 18 | 3 1 1 |
| 56.2 | 17 | 4 0 0 |
| 70.5 | 34 | 4 2 2 |